Record 1
Simulated powder diffraction line list of SrCaFe4O12 for Cu Kα X-rays, from a GGA+U-relaxed structure.

Principal peaks in the range 5° ≤ 2θ ≤ 70°, low angle first:
| 2θ (°) | I (rel.) |
| --- | --- |
| 20.1 | 45 |
| 23.1 | 15 |
| 23.3 | 30 |
| 33.1 | 100 |
| 39.0 | 16 |
| 47.3 | 20 |
| 47.5 | 38 |
| 58.9 | 12 |
| 59.1 | 24 |
| 69.3 | 21 |

Structure:
```
SrCaFe4O12
1.0
5.409 0.000 0.000
0.000 5.409 0.000
0.000 0.000 7.690
Sr Ca Fe O
1 1 4 12
direct
0.000 0.000 0.000
0.500 0.500 0.500
0.000 0.500 0.251
0.000 0.500 0.749
0.500 0.000 0.251
0.500 0.000 0.749
0.000 0.500 0.000
0.000 0.500 0.500
0.253 0.253 0.253
0.253 0.253 0.747
0.253 0.747 0.253
0.253 0.747 0.747
0.500 0.000 0.000
0.500 0.000 0.500
0.747 0.253 0.253
0.747 0.253 0.747
0.747 0.747 0.253
0.747 0.747 0.747
```

=====

Record 2
Simulated powder diffraction line list of Ca2TaFeO6 for Cu Kα X-rays, from a GGA+U-relaxed structure.

Principal peaks in the range 5° ≤ 2θ ≤ 70°, low angle first:
| 2θ (°) | I (rel.) |
| --- | --- |
| 15.7 | 24 |
| 16.2 | 23 |
| 22.5 | 25 |
| 22.7 | 24 |
| 22.8 | 23 |
| 31.6 | 25 |
| 32.3 | 100 |
| 32.7 | 23 |
| 46.5 | 15 |
| 58.0 | 23 |

Structure:
```
Ca2TaFeO6
1.0
5.480 0.000 0.000
0.000 7.812 0.000
-0.034 0.000 5.655
Ca Ta Fe O
4 2 2 12
direct
0.009 0.250 0.042
0.488 0.250 0.565
0.512 0.750 0.435
0.991 0.750 0.958
0.000 0.000 0.500
0.000 0.500 0.500
0.500 0.000 0.000
0.500 0.500 0.000
0.092 0.750 0.529
0.196 0.049 0.789
0.196 0.451 0.789
0.291 0.046 0.303
0.291 0.454 0.303
0.409 0.750 0.028
0.591 0.250 0.972
0.709 0.546 0.697
0.709 0.954 0.697
0.804 0.549 0.211
0.804 0.951 0.211
0.908 0.250 0.471
```

=====

Record 3
Simulated powder diffraction line list of Ca2TbFeO6 for Cu Kα X-rays, from a GGA+U-relaxed structure.

Principal peaks in the range 5° ≤ 2θ ≤ 70°, low angle first:
| 2θ (°) | I (rel.) |
| --- | --- |
| 19.1 | 21 |
| 22.0 | 47 |
| 31.4 | 100 |
| 37.0 | 18 |
| 45.0 | 38 |
| 49.2 | 11 |
| 50.6 | 19 |
| 55.8 | 37 |
| 65.5 | 21 |
| 70.0 | 8 |

Structure:
```
Ca2TbFeO6
1.0
0.000 4.033 4.033
4.033 0.000 4.033
4.033 4.033 0.000
Ca Tb Fe O
2 1 1 6
direct
0.250 0.250 0.250
0.750 0.750 0.750
0.000 0.000 0.000
0.500 0.500 0.500
0.269 0.269 0.731
0.269 0.731 0.269
0.269 0.731 0.731
0.731 0.269 0.269
0.731 0.269 0.731
0.731 0.731 0.269
```

=====

Record 4
Simulated powder diffraction line list of CaTi2FeO6 for Cu Kα X-rays, from a GGA+U-relaxed structure.

Principal peaks in the range 5° ≤ 2θ ≤ 70°, low angle first:
| 2θ (°) | I (rel.) |
| --- | --- |
| 28.7 | 4 |
| 33.3 | 100 |
| 33.5 | 48 |
| 37.3 | 4 |
| 39.4 | 5 |
| 41.2 | 8 |
| 47.7 | 17 |
| 48.1 | 36 |
| 59.5 | 23 |
| 59.7 | 49 |

Structure:
```
CaTi2FeO6
1.0
7.574 0.000 0.000
0.000 7.574 0.000
0.000 0.000 7.626
Ca Ti Fe O
4 8 4 24
direct
0.250 0.250 0.222
0.250 0.250 0.722
0.750 0.750 0.278
0.750 0.750 0.778
0.000 0.000 0.000
0.000 0.000 0.500
0.000 0.500 0.000
0.000 0.500 0.500
0.500 0.000 0.000
0.500 0.000 0.500
0.500 0.500 0.000
0.500 0.500 0.500
0.250 0.750 0.250
0.250 0.750 0.750
0.750 0.250 0.250
0.750 0.250 0.750
0.043 0.750 0.430
0.055 0.250 0.963
0.057 0.557 0.750
0.057 0.943 0.750
0.250 0.055 0.463
0.250 0.445 0.463
0.250 0.543 0.070
0.250 0.957 0.070
0.443 0.557 0.750
0.443 0.943 0.750
0.445 0.250 0.963
0.457 0.750 0.430
0.543 0.250 0.570
0.555 0.750 0.037
0.557 0.057 0.250
0.557 0.443 0.250
0.750 0.043 0.930
0.750 0.457 0.930
0.750 0.555 0.537
0.750 0.945 0.537
0.943 0.057 0.250
0.943 0.443 0.250
0.945 0.750 0.037
0.957 0.250 0.570
```

=====

Record 5
Simulated powder diffraction line list of Ca3V6Fe4O24 for Cu Kα X-rays, from a GGA+U-relaxed structure.

Principal peaks in the range 5° ≤ 2θ ≤ 70°, low angle first:
| 2θ (°) | I (rel.) |
| --- | --- |
| 11.3 | 44 |
| 26.7 | 54 |
| 27.0 | 34 |
| 27.6 | 75 |
| 27.8 | 39 |
| 28.0 | 100 |
| 31.5 | 22 |
| 32.9 | 26 |
| 53.8 | 23 |
| 54.1 | 21 |

Structure:
```
Ca3V6Fe4O24
1.0
6.880 0.000 0.000
-2.079 8.377 0.000
-2.800 -3.528 9.043
Ca V Fe O
3 6 4 24
direct
0.000 0.000 0.000
0.291 0.806 0.296
0.709 0.194 0.704
0.112 0.595 0.834
0.213 0.164 0.761
0.397 0.244 0.364
0.603 0.756 0.636
0.787 0.836 0.239
0.888 0.405 0.166
0.047 0.710 0.528
0.375 0.456 0.101
0.625 0.544 0.899
0.953 0.290 0.472
0.014 0.219 0.650
0.072 0.554 0.643
0.125 0.517 0.149
0.158 0.801 0.919
0.178 0.953 0.681
0.207 0.216 0.942
0.237 0.297 0.461
0.253 0.037 0.237
0.335 0.539 0.925
0.356 0.756 0.519
0.432 0.371 0.260
0.462 0.287 0.773
0.538 0.713 0.227
0.568 0.629 0.740
0.644 0.244 0.481
0.665 0.461 0.075
0.747 0.963 0.763
0.763 0.703 0.539
0.793 0.784 0.058
0.822 0.047 0.319
0.842 0.199 0.081
0.875 0.483 0.851
0.928 0.446 0.357
0.986 0.781 0.350
```

=====

Record 6
Simulated powder diffraction line list of CaFeWO6 for Cu Kα X-rays, from a GGA+U-relaxed structure.

Principal peaks in the range 5° ≤ 2θ ≤ 70°, low angle first:
| 2θ (°) | I (rel.) |
| --- | --- |
| 19.6 | 58 |
| 22.7 | 100 |
| 32.3 | 93 |
| 38.1 | 32 |
| 46.4 | 38 |
| 50.8 | 14 |
| 52.2 | 40 |
| 57.7 | 36 |
| 61.5 | 12 |
| 67.7 | 22 |

Structure:
```
CaFeWO6
1.0
0.000 3.916 3.916
3.916 0.000 3.916
3.916 3.916 0.000
Ca Fe W O
1 1 1 6
direct
0.000 0.000 0.000
0.250 0.250 0.250
0.750 0.750 0.750
0.504 0.504 0.996
0.504 0.996 0.504
0.504 0.996 0.996
0.996 0.504 0.504
0.996 0.504 0.996
0.996 0.996 0.504
```

=====

Record 7
Simulated powder diffraction line list of Ca3Fe2W2O12 for Cu Kα X-rays, from a GGA+U-relaxed structure.

Principal peaks in the range 5° ≤ 2θ ≤ 70°, low angle first:
| 2θ (°) | I (rel.) |
| --- | --- |
| 19.6 | 48 |
| 22.6 | 75 |
| 32.2 | 100 |
| 38.0 | 27 |
| 46.2 | 38 |
| 50.7 | 12 |
| 52.1 | 31 |
| 57.5 | 38 |
| 61.3 | 10 |
| 67.5 | 22 |

Structure:
```
Ca3Fe2W2O12
1.0
2.776 1.603 9.072
-2.776 1.603 9.072
0.000 -3.205 9.072
Ca Fe W O
3 2 2 12
direct
0.000 0.000 0.000
0.244 0.244 0.244
0.493 0.493 0.493
0.375 0.375 0.375
0.872 0.872 0.872
0.123 0.123 0.123
0.626 0.626 0.626
0.001 0.495 0.495
0.012 0.012 0.484
0.012 0.484 0.012
0.250 0.250 0.754
0.250 0.754 0.250
0.254 0.749 0.749
0.484 0.012 0.012
0.495 0.001 0.495
0.495 0.495 0.001
0.749 0.254 0.749
0.749 0.749 0.254
0.754 0.250 0.250
```